Calculated powder X-ray diffraction pattern of AcMg2Ge2Pt for Cu Kα (weighted mean of Kα1 and Kα2), from a DFT-relaxed cell (GGA-PBE, Alexandria).
Neutral-atom scattering factors, no anomalous dispersion.

```
data_AcMg2Ge2Pt
_chemical_formula_sum 'Ac1 Mg2 Ge2 Pt1'
_cell_length_a 6.8382
_cell_length_b 6.8382
_cell_length_c 6.8382
_cell_angle_alpha 136.06
_cell_angle_beta 136.06
_cell_angle_gamma 63.89
_space_group_name_H-M_alt 'P 1'
_space_group_IT_number 1
loop_
_space_group_symop_operation_xyz
'x,y,z'
loop_
_atom_site_label
_atom_site_type_symbol
_atom_site_fract_x
_atom_site_fract_y
_atom_site_fract_z
Ac1 Ac 0.0000 0.0000 0.0000
Mg1 Mg 0.2500 0.7500 0.5000
Mg2 Mg 0.7500 0.2500 0.5000
Ge1 Ge 0.2953 0.2953 0.0000
Ge2 Ge 0.7047 0.7047 0.0000
Pt1 Pt 0.5000 0.5000 0.0000
```

Peak list (10 most intense, 2θ from 15° to 90°, in order of rising 2θ)
2θ (°)	Rel. int.
15.3	29
24.6	100
29.1	57
30.8	30
35.1	59
39.8	40
47.4	37
50.4	21
53.7	22
56.9	21

=====

Calculated powder X-ray diffraction pattern of AcMgGePt6 for Cu Kα (weighted mean of Kα1 and Kα2), from a DFT-relaxed cell (GGA-PBE, Alexandria).
Neutral-atom scattering factors, no anomalous dispersion.

```
data_AcMgGePt6
_chemical_formula_sum 'Ac2 Mg2 Ge2 Pt12'
_cell_length_a 8.1457
_cell_length_b 8.1457
_cell_length_c 8.1457
_cell_angle_alpha 129.13
_cell_angle_beta 109.28
_cell_angle_gamma 92.22
_space_group_name_H-M_alt 'P 1'
_space_group_IT_number 1
loop_
_space_group_symop_operation_xyz
'x,y,z'
loop_
_atom_site_label
_atom_site_type_symbol
_atom_site_fract_x
_atom_site_fract_y
_atom_site_fract_z
Ac1 Ac 0.4185 0.1685 0.2500
Ac2 Ac 0.5815 0.8315 0.7500
Mg1 Mg 0.0000 0.0000 0.5000
Mg2 Mg 0.0000 0.5000 0.0000
Ge1 Ge 0.0000 0.5000 0.5000
Ge2 Ge 0.5000 0.5000 0.0000
Pt1 Pt 0.1114 0.3420 0.2033
Pt2 Pt 0.1114 0.9081 0.7694
Pt3 Pt 0.1595 0.9095 0.2500
Pt4 Pt 0.3215 0.5715 0.7500
Pt5 Pt 0.3613 0.0919 0.7033
Pt6 Pt 0.3613 0.6580 0.2694
Pt7 Pt 0.6387 0.3420 0.7306
Pt8 Pt 0.6387 0.9081 0.2967
Pt9 Pt 0.6785 0.4285 0.2500
Pt10 Pt 0.8405 0.0905 0.7500
Pt11 Pt 0.8886 0.0919 0.2306
Pt12 Pt 0.8886 0.6580 0.7967
```

Peak list (10 most intense, 2θ from 15° to 90°, in order of rising 2θ)
2θ (°)	Rel. int.
26.9	25
31.7	31
31.9	100
35.6	29
38.2	44
45.1	15
45.5	60
50.4	16
52.3	14
74.2	16

=====

Calculated powder X-ray diffraction pattern of AcMgScGe2 for Cu Kα (weighted mean of Kα1 and Kα2), from a DFT-relaxed cell (GGA-PBE, Alexandria).
Neutral-atom scattering factors, no anomalous dispersion.

```
data_AcMgScGe2
_chemical_formula_sum 'Ac1 Mg1 Sc1 Ge2'
_cell_length_a 6.8379
_cell_length_b 6.8379
_cell_length_c 6.8379
_cell_angle_alpha 141.88
_cell_angle_beta 141.88
_cell_angle_gamma 55.00
_space_group_name_H-M_alt 'P 1'
_space_group_IT_number 1
loop_
_space_group_symop_operation_xyz
'x,y,z'
loop_
_atom_site_label
_atom_site_type_symbol
_atom_site_fract_x
_atom_site_fract_y
_atom_site_fract_z
Ac1 Ac 0.0000 0.0000 0.0000
Mg1 Mg 0.7500 0.2500 0.5000
Sc1 Sc 0.2500 0.7500 0.5000
Ge1 Ge 0.3862 0.3862 0.0000
Ge2 Ge 0.6138 0.6138 0.0000
```

Peak list (10 most intense, 2θ from 15° to 90°, in order of rising 2θ)
2θ (°)	Rel. int.
21.2	28
28.3	56
29.8	100
32.0	89
40.4	47
42.4	54
51.0	46
58.5	16
60.0	39
68.2	20

=====

Calculated powder X-ray diffraction pattern of Ac2MnGe4 for Cu Kα (weighted mean of Kα1 and Kα2), from a DFT-relaxed cell (GGA-PBE, Alexandria).
Neutral-atom scattering factors, no anomalous dispersion.

```
data_Ac2MnGe4
_chemical_formula_sum 'Ac2 Mn1 Ge4'
_cell_length_a 6.5584
_cell_length_b 6.5550
_cell_length_c 6.1249
_cell_angle_alpha 62.18
_cell_angle_beta 62.13
_cell_angle_gamma 55.69
_space_group_name_H-M_alt 'P 1'
_space_group_IT_number 1
loop_
_space_group_symop_operation_xyz
'x,y,z'
loop_
_atom_site_label
_atom_site_type_symbol
_atom_site_fract_x
_atom_site_fract_y
_atom_site_fract_z
Ac1 Ac 0.0000 0.0000 0.5000
Ac2 Ac 0.5000 0.5000 0.0000
Mn1 Mn 0.2509 0.2509 0.7491
Ge1 Ge 0.5367 0.9631 0.0369
Ge2 Ge 0.5370 0.9628 0.4630
Ge3 Ge 0.9628 0.5370 0.0372
Ge4 Ge 0.9631 0.5367 0.4633
```

Peak list (10 most intense, 2θ from 15° to 90°, in order of rising 2θ)
2θ (°)	Rel. int.
20.5	51
27.4	100
34.5	90
36.5	29
41.7	34
42.2	17
46.9	17
50.6	30
56.6	28
60.9	16

=====

Calculated powder X-ray diffraction pattern of Ac3Mn3Ge8 for Cu Kα (weighted mean of Kα1 and Kα2), from a DFT-relaxed cell (GGA-PBE, Alexandria).
Neutral-atom scattering factors, no anomalous dispersion.

```
data_Ac3Mn3Ge8
_chemical_formula_sum 'Ac3 Mn3 Ge8'
_cell_length_a 8.7373
_cell_length_b 8.7373
_cell_length_c 9.0457
_cell_angle_alpha 114.88
_cell_angle_beta 114.88
_cell_angle_gamma 29.92
_space_group_name_H-M_alt 'P 1'
_space_group_IT_number 1
loop_
_space_group_symop_operation_xyz
'x,y,z'
loop_
_atom_site_label
_atom_site_type_symbol
_atom_site_fract_x
_atom_site_fract_y
_atom_site_fract_z
Ac1 Ac 0.0000 0.0000 0.0000
Ac2 Ac 0.2899 0.2899 0.3267
Ac3 Ac 0.7101 0.7101 0.6733
Mn1 Mn 0.0000 0.0000 0.5000
Mn2 Mn 0.3446 0.3446 0.0062
Mn3 Mn 0.6554 0.6554 0.9938
Ge1 Ge 0.1130 0.1130 0.3922
Ge2 Ge 0.1722 0.1722 0.8971
Ge3 Ge 0.3635 0.3635 0.7473
Ge4 Ge 0.4842 0.4842 0.2904
Ge5 Ge 0.5158 0.5158 0.7096
Ge6 Ge 0.6365 0.6365 0.2527
Ge7 Ge 0.8278 0.8278 0.1029
Ge8 Ge 0.8870 0.8870 0.6078
```

Peak list (10 most intense, 2θ from 15° to 90°, in order of rising 2θ)
2θ (°)	Rel. int.
22.0	34
26.5	25
32.0	100
32.5	22
33.0	26
33.2	60
34.4	20
36.0	30
40.0	45
41.7	25

=====

Calculated powder X-ray diffraction pattern of AcMn2GeN2 for Cu Kα (weighted mean of Kα1 and Kα2), from a DFT-relaxed cell (GGA-PBE, Alexandria).
Neutral-atom scattering factors, no anomalous dispersion.

```
data_AcMn2GeN2
_chemical_formula_sum 'Ac2 Mn4 Ge2 N4'
_cell_length_a 6.2373
_cell_length_b 4.9007
_cell_length_c 7.1292
_cell_angle_alpha 90.00
_cell_angle_beta 111.41
_cell_angle_gamma 90.00
_space_group_name_H-M_alt 'P 1'
_space_group_IT_number 1
loop_
_space_group_symop_operation_xyz
'x,y,z'
loop_
_atom_site_label
_atom_site_type_symbol
_atom_site_fract_x
_atom_site_fract_y
_atom_site_fract_z
Ac1 Ac 0.1867 0.2500 0.3477
Ac2 Ac 0.8133 0.7500 0.6523
Mn1 Mn 0.3688 0.9995 0.8134
Mn2 Mn 0.3688 0.5005 0.8134
Mn3 Mn 0.6312 0.0005 0.1866
Mn4 Mn 0.6312 0.4995 0.1866
Ge1 Ge 0.2686 0.7500 0.0669
Ge2 Ge 0.7314 0.2500 0.9331
N1 N 0.1507 0.2500 0.7022
N2 N 0.3947 0.7500 0.6388
N3 N 0.6053 0.2500 0.3612
N4 N 0.8493 0.7500 0.2978
```

Peak list (10 most intense, 2θ from 15° to 90°, in order of rising 2θ)
2θ (°)	Rel. int.
22.6	45
23.8	62
24.4	100
28.7	34
30.8	28
32.6	61
37.7	35
40.3	42
44.2	29
50.0	30